(1)
Tb2Pr2O5: calculated powder XRD pattern (Cu Kα (λ = 1.5418 Å)), based on a crystal structure in Alexandria, relaxed with GGA-PBE.
No peak broadening, texture or thermal motion is included.

```
data_Tb2Pr2O5
_chemical_formula_sum 'Tb2 Pr2 O5'
_space_group_name_H-M_alt 'P 4/m m m'
_space_group_IT_number 123
_space_group_name_Hall '-P 4 2'
_cell_length_a 4.4085
_cell_length_b 4.4085
_cell_length_c 7.8322
_cell_angle_alpha 90.00
_cell_angle_beta 90.00
_cell_angle_gamma 90.00
loop_
_atom_site_label
_atom_site_type_symbol
_atom_site_fract_x
_atom_site_fract_y
_atom_site_fract_z
_atom_site_occupancy
Tb1 Tb 0.0000 0.0000 0.2296 1
Pr1 Pr 0.5000 0.5000 0.0000 1
Pr2 Pr 0.5000 0.5000 0.5000 1
O1 O 0.0000 0.0000 0.5000 1
O2 O 0.0000 0.5000 0.2355 1
```

Most intense lines, 2θ = 10–90°, in order of falling intensity:
2θ = 30.53°, I 100
2θ = 28.64°, I 54
2θ = 51.93°, I 46
2θ = 40.94°, I 32
2θ = 55.41°, I 15
2θ = 63.56°, I 14
2θ = 82.68°, I 12
2θ = 59.29°, I 10
2θ = 68.16°, I 10
2θ = 67.15°, I 10

---

(2)
AlAg5Au: calculated powder XRD pattern (Cu Kα (λ = 1.5418 Å)), based on a crystal structure in Alexandria, relaxed with GGA-PBE.
No peak broadening, texture or thermal motion is included.

```
data_AlAg5Au
_chemical_formula_sum 'Al4 Ag20 Au4'
_space_group_name_H-M_alt 'C 1 2/c 1'
_space_group_IT_number 15
_space_group_name_Hall '-C 2yc'
_cell_length_a 9.9589
_cell_length_b 5.3487
_cell_length_c 9.8240
_cell_angle_alpha 90.00
_cell_angle_beta 98.58
_cell_angle_gamma 90.00
loop_
_atom_site_label
_atom_site_type_symbol
_atom_site_fract_x
_atom_site_fract_y
_atom_site_fract_z
_atom_site_occupancy
Al1 Al 0.0000 0.1940 0.2500 1
Ag1 Ag 0.0000 0.3177 0.7500 1
Ag2 Ag 0.1452 0.4529 0.0379 1
Ag3 Ag 0.2399 0.0903 0.6875 1
Au1 Au 0.0000 0.0000 0.0000 1
```

Most intense lines, 2θ = 10–90°, in order of falling intensity:
2θ = 39.15°, I 100
2θ = 38.79°, I 79
2θ = 38.43°, I 62
2θ = 31.99°, I 49
2θ = 23.74°, I 40
2θ = 41.48°, I 39
2θ = 43.13°, I 35
2θ = 37.02°, I 35
2θ = 33.51°, I 31
2θ = 34.75°, I 30

---

(3)
HoEr4Mg7: calculated powder XRD pattern (Cu Kα (λ = 1.5418 Å)), based on a crystal structure in Alexandria, relaxed with GGA-PBE.
No peak broadening, texture or thermal motion is included.

```
data_HoEr4Mg7
_chemical_formula_sum 'Ho1 Er4 Mg7'
_space_group_name_H-M_alt 'P -3 m 1'
_space_group_IT_number 164
_space_group_name_Hall '-P 3 2"'
_cell_length_a 5.2770
_cell_length_b 5.2770
_cell_length_c 13.1254
_cell_angle_alpha 90.00
_cell_angle_beta 90.00
_cell_angle_gamma 120.00
loop_
_atom_site_label
_atom_site_type_symbol
_atom_site_fract_x
_atom_site_fract_y
_atom_site_fract_z
_atom_site_occupancy
Ho1 Ho 0.0000 0.0000 0.0000 1
Er1 Er 0.3333 0.6667 0.1611 1
Er2 Er 0.3333 0.6667 0.4223 1
Mg1 Mg 0.0000 0.0000 0.2618 1
Mg2 Mg 0.0000 0.0000 0.5000 1
Mg3 Mg 0.3333 0.6667 0.6810 1
Mg4 Mg 0.3333 0.6667 0.9174 1
```

Most intense lines, 2θ = 10–90°, in order of falling intensity:
2θ = 33.62°, I 100
2θ = 33.98°, I 97
2θ = 20.58°, I 87
2θ = 28.24°, I 54
2θ = 60.58°, I 53
2θ = 48.55°, I 41
2θ = 81.39°, I 23
2θ = 60.80°, I 18
2θ = 59.90°, I 17
2θ = 40.05°, I 16

---

(4)
Ca3Ga2Pt3: calculated powder XRD pattern (Cu Kα (λ = 1.5418 Å)), based on a crystal structure in Alexandria, relaxed with GGA-PBE.
No peak broadening, texture or thermal motion is included.

```
data_Ca3Ga2Pt3
_chemical_formula_sum 'Ca12 Ga8 Pt12'
_space_group_name_H-M_alt 'P n m a'
_space_group_IT_number 62
_space_group_name_Hall '-P 2ac 2n'
_cell_length_a 7.9786
_cell_length_b 14.9650
_cell_length_c 5.8524
_cell_angle_alpha 90.00
_cell_angle_beta 90.00
_cell_angle_gamma 90.00
loop_
_atom_site_label
_atom_site_type_symbol
_atom_site_fract_x
_atom_site_fract_y
_atom_site_fract_z
_atom_site_occupancy
Ca1 Ca 0.0291 0.1055 0.1364 1
Ca2 Ca 0.1722 0.2500 0.5916 1
Ga1 Ga 0.1267 0.6028 0.3758 1
Pt1 Pt 0.1669 0.0424 0.6019 1
Pt2 Pt 0.1831 0.7500 0.5846 1
```

Most intense lines, 2θ = 10–90°, in order of falling intensity:
2θ = 37.13°, I 100
2θ = 18.80°, I 91
2θ = 32.58°, I 90
2θ = 40.75°, I 70
2θ = 25.99°, I 68
2θ = 37.37°, I 63
2θ = 23.43°, I 63
2θ = 46.64°, I 57
2θ = 36.32°, I 48
2θ = 11.83°, I 47

---

(5)
SrAl6Ni3: calculated powder XRD pattern (Cu Kα (λ = 1.5418 Å)), based on a crystal structure in Alexandria, relaxed with GGA-PBE.
No peak broadening, texture or thermal motion is included.

```
data_SrAl6Ni3
_chemical_formula_sum 'Sr2 Al12 Ni6'
_space_group_name_H-M_alt 'P 1 21/c 1'
_space_group_IT_number 14
_space_group_name_Hall '-P 2ybc'
_cell_length_a 6.7718
_cell_length_b 6.4277
_cell_length_c 8.3766
_cell_angle_alpha 90.00
_cell_angle_beta 117.81
_cell_angle_gamma 90.00
loop_
_atom_site_label
_atom_site_type_symbol
_atom_site_fract_x
_atom_site_fract_y
_atom_site_fract_z
_atom_site_occupancy
Sr1 Sr 0.0000 0.0000 0.0000 1
Al1 Al 0.1360 0.0176 0.6810 1
Al2 Al 0.3067 0.6703 0.8926 1
Al3 Al 0.4519 0.1903 0.2569 1
Ni1 Ni 0.2408 0.1749 0.4333 1
Ni2 Ni 0.5000 0.0000 0.0000 1
```

Most intense lines, 2θ = 10–90°, in order of falling intensity:
2θ = 40.04°, I 100
2θ = 39.91°, I 88
2θ = 43.99°, I 67
2θ = 29.88°, I 57
2θ = 24.02°, I 52
2θ = 20.27°, I 50
2θ = 39.07°, I 44
2θ = 41.20°, I 42
2θ = 37.46°, I 38
2θ = 43.89°, I 31

---

(6)
LiPuIn4Pd2: calculated powder XRD pattern (Cu Kα (λ = 1.5418 Å)), based on a crystal structure in Alexandria, relaxed with GGA-PBE.
No peak broadening, texture or thermal motion is included.

```
data_LiPuIn4Pd2
_chemical_formula_sum 'Li3 Pu3 In12 Pd6'
_space_group_name_H-M_alt 'R -3 m'
_space_group_IT_number 166
_space_group_name_Hall '-R 3 2"'
_cell_length_a 4.6483
_cell_length_b 4.6483
_cell_length_c 27.0314
_cell_angle_alpha 90.00
_cell_angle_beta 90.00
_cell_angle_gamma 120.00
loop_
_atom_site_label
_atom_site_type_symbol
_atom_site_fract_x
_atom_site_fract_y
_atom_site_fract_z
_atom_site_occupancy
Li1 Li 0.0000 0.0000 0.0000 1
Pu1 Pu 0.0000 0.0000 0.5000 1
In1 In 0.0000 0.0000 0.1049 1
In2 In 0.0000 0.0000 0.3718 1
Pd1 Pd 0.0000 0.0000 0.2656 1
```

Most intense lines, 2θ = 10–90°, in order of falling intensity:
2θ = 38.74°, I 100
2θ = 34.66°, I 89
2θ = 27.63°, I 49
2θ = 52.95°, I 26
2θ = 67.51°, I 25
2θ = 22.33°, I 24
2θ = 70.14°, I 20
2θ = 32.12°, I 18
2θ = 49.33°, I 13
2θ = 83.12°, I 13

---

(7)
Tb3Ce2TmTe6: calculated powder XRD pattern (Cu Kα (λ = 1.5418 Å)), based on a crystal structure in Alexandria, relaxed with GGA-PBE.
No peak broadening, texture or thermal motion is included.

```
data_Tb3Ce2TmTe6
_chemical_formula_sum 'Tb6 Ce4 Tm2 Te12'
_space_group_name_H-M_alt 'C 1 2/m 1'
_space_group_IT_number 12
_space_group_name_Hall '-C 2y'
_cell_length_a 19.2156
_cell_length_b 4.3653
_cell_length_c 8.8729
_cell_angle_alpha 90.00
_cell_angle_beta 103.79
_cell_angle_gamma 90.00
loop_
_atom_site_label
_atom_site_type_symbol
_atom_site_fract_x
_atom_site_fract_y
_atom_site_fract_z
_atom_site_occupancy
Tb1 Tb 0.0000 0.0000 0.0000 1
Tb2 Tb 0.1701 0.5000 0.3348 1
Ce1 Ce 0.1682 0.5000 0.8372 1
Tm1 Tm 0.0000 0.0000 0.5000 1
Te1 Te 0.0030 0.5000 0.2564 1
Te2 Te 0.1633 0.0000 0.5763 1
Te3 Te 0.1637 0.0000 0.0897 1
```

Most intense lines, 2θ = 10–90°, in order of falling intensity:
2θ = 28.69°, I 100
2θ = 40.92°, I 25
2θ = 41.14°, I 25
2θ = 51.12°, I 13
2θ = 40.67°, I 13
2θ = 59.42°, I 13
2θ = 41.37°, I 12
2θ = 67.14°, I 11
2θ = 67.46°, I 11
2θ = 50.34°, I 7

---

(8)
Sr2NpTcO6: calculated powder XRD pattern (Cu Kα (λ = 1.5418 Å)), based on a crystal structure in Alexandria, relaxed with GGA-PBE.
No peak broadening, texture or thermal motion is included.

```
data_Sr2NpTcO6
_chemical_formula_sum 'Sr4 Np2 Tc2 O12'
_space_group_name_H-M_alt 'P m m n'
_space_group_IT_number 59
_cell_length_a 5.8890
_cell_length_b 8.3301
_cell_length_c 5.8900
_cell_angle_alpha 90.00
_cell_angle_beta 90.00
_cell_angle_gamma 90.00
loop_
_space_group_symop_operation_xyz
'x,y,z'
'-x,-y,-z'
'-x+1/2,-y+1/2,z'
'x+1/2,y+1/2,-z'
'x+1/2,-y,-z'
'-x+1/2,y,z'
'-x,y+1/2,-z'
'x,-y+1/2,z'
loop_
_atom_site_label
_atom_site_type_symbol
_atom_site_fract_x
_atom_site_fract_y
_atom_site_fract_z
_atom_site_occupancy
Sr1 Sr 0.2500 0.0000 0.2491 1
Np1 Np 0.2500 0.2500 0.7494 1
Tc1 Tc 0.2500 0.7500 0.7504 1
O1 O 0.0055 0.7500 0.5062 1
O2 O 0.0057 0.7500 0.9950 1
O3 O 0.2500 0.5056 0.7506 1
```

Most intense lines, 2θ = 10–90°, in order of falling intensity:
2θ = 30.35°, I 100
2θ = 53.93°, I 41
2θ = 43.46°, I 30
2θ = 87.67°, I 22
2θ = 21.33°, I 19
2θ = 63.14°, I 19
2θ = 71.66°, I 18
2θ = 18.45°, I 15
2θ = 35.75°, I 10
2θ = 48.90°, I 8

---

(9)
K5HBr4: calculated powder XRD pattern (Cu Kα (λ = 1.5418 Å)), based on a crystal structure in Alexandria, relaxed with GGA-PBE.
No peak broadening, texture or thermal motion is included.

```
data_K5HBr4
_chemical_formula_sum 'K10 H2 Br8'
_space_group_name_H-M_alt 'I 4/m m m'
_space_group_IT_number 139
_space_group_name_Hall '-I 4 2'
_cell_length_a 4.6654
_cell_length_b 4.6654
_cell_length_c 32.5432
_cell_angle_alpha 90.00
_cell_angle_beta 90.00
_cell_angle_gamma 90.00
loop_
_atom_site_label
_atom_site_type_symbol
_atom_site_fract_x
_atom_site_fract_y
_atom_site_fract_z
_atom_site_occupancy
K1 K 0.0000 0.0000 0.0000 1
K2 K 0.0000 0.0000 0.1996 1
K3 K 0.0000 0.0000 0.4082 1
H1 H 0.0000 0.0000 0.5000 1
Br1 Br 0.0000 0.0000 0.0976 1
Br2 Br 0.0000 0.0000 0.3027 1
```

Most intense lines, 2θ = 10–90°, in order of falling intensity:
2θ = 27.03°, I 100
2θ = 38.87°, I 65
2θ = 27.41°, I 44
2θ = 38.60°, I 35
2θ = 47.99°, I 34
2θ = 70.02°, I 21
2θ = 63.01°, I 16
2θ = 63.20°, I 15
2θ = 23.46°, I 14
2θ = 63.78°, I 12

---

(10)
Na3SrBi3: calculated powder XRD pattern (Cu Kα (λ = 1.5418 Å)), based on a crystal structure in Alexandria, relaxed with GGA-PBE.
No peak broadening, texture or thermal motion is included.

```
data_Na3SrBi3
_chemical_formula_sum 'Na6 Sr2 Bi6'
_space_group_name_H-M_alt 'P m -3 n'
_space_group_IT_number 223
_space_group_name_Hall '-P 4n 2 3'
_cell_length_a 8.3149
_cell_length_b 8.3149
_cell_length_c 8.3149
_cell_angle_alpha 90.00
_cell_angle_beta 90.00
_cell_angle_gamma 90.00
loop_
_atom_site_label
_atom_site_type_symbol
_atom_site_fract_x
_atom_site_fract_y
_atom_site_fract_z
_atom_site_occupancy
Na1 Na 0.0000 0.2500 0.5000 1
Sr1 Sr 0.0000 0.0000 0.0000 1
Bi1 Bi 0.0000 0.5000 0.2500 1
```

Most intense lines, 2θ = 10–90°, in order of falling intensity:
2θ = 23.93°, I 100
2θ = 26.25°, I 63
2θ = 40.60°, I 40
2θ = 37.47°, I 30
2θ = 39.06°, I 29
2θ = 50.29°, I 29
2θ = 59.91°, I 26
2θ = 21.37°, I 26
2θ = 43.54°, I 25
2θ = 15.07°, I 22

---

(11)
HoEr5Sc2: calculated powder XRD pattern (Cu Kα (λ = 1.5418 Å)), based on a crystal structure in Alexandria, relaxed with GGA-PBE.
No peak broadening, texture or thermal motion is included.

```
data_HoEr5Sc2
_chemical_formula_sum 'Ho4 Er20 Sc8'
_space_group_name_H-M_alt 'F m m 2'
_space_group_IT_number 42
_space_group_name_Hall 'F 2 -2'
_cell_length_a 7.0465
_cell_length_b 10.9322
_cell_length_c 12.1733
_cell_angle_alpha 90.00
_cell_angle_beta 90.00
_cell_angle_gamma 90.00
loop_
_atom_site_label
_atom_site_type_symbol
_atom_site_fract_x
_atom_site_fract_y
_atom_site_fract_z
_atom_site_occupancy
Ho1 Ho 0.0000 0.0000 0.0000 1
Er1 Er 0.0000 0.0000 0.4999 1
Er2 Er 0.2498 0.0000 0.2469 1
Er3 Er 0.2500 0.2500 0.4157 1
Sc1 Sc 0.0000 0.2501 0.1643 1
```

Most intense lines, 2θ = 10–90°, in order of falling intensity:
2θ = 33.67°, I 100
2θ = 29.31°, I 27
2θ = 32.77°, I 24
2θ = 62.82°, I 22
2θ = 59.07°, I 20
2θ = 44.53°, I 17
2θ = 52.01°, I 13
2θ = 63.33°, I 11
2θ = 86.38°, I 9
2θ = 51.91°, I 8

---

(12)
La5Si2O: calculated powder XRD pattern (Cu Kα (λ = 1.5418 Å)), based on a crystal structure in Alexandria, relaxed with GGA-PBE.
No peak broadening, texture or thermal motion is included.

```
data_La5Si2O
_chemical_formula_sum 'La20 Si8 O4'
_space_group_name_H-M_alt 'C m c m'
_space_group_IT_number 63
_space_group_name_Hall '-C 2c 2'
_cell_length_a 5.8818
_cell_length_b 12.6678
_cell_length_c 13.1895
_cell_angle_alpha 90.00
_cell_angle_beta 90.00
_cell_angle_gamma 90.00
loop_
_atom_site_label
_atom_site_type_symbol
_atom_site_fract_x
_atom_site_fract_y
_atom_site_fract_z
_atom_site_occupancy
La1 La 0.0000 0.0555 0.1318 1
La2 La 0.0000 0.2901 0.7500 1
La3 La 0.0000 0.3415 0.0969 1
Si1 Si 0.0000 0.1704 0.5622 1
O1 O 0.0000 0.2237 0.2500 1
```

Most intense lines, 2θ = 10–90°, in order of falling intensity:
2θ = 26.27°, I 100
2θ = 30.39°, I 83
2θ = 25.98°, I 81
2θ = 26.86°, I 64
2θ = 34.92°, I 57
2θ = 46.95°, I 50
2θ = 24.65°, I 31
2θ = 41.11°, I 25
2θ = 43.62°, I 24
2θ = 39.50°, I 22